(1)
Computed powder X-ray diffraction pattern of MgBe17Co for copper Kα, from a structure optimized by DFT (PBE).

Structure:
abc: 5.544 5.544 5.544
angles: 82.00 82.00 82.00
Sites, in units of the cell vectors:
Mg (0.000, 0.000, 0.000)
Be (0.010, 0.010, 0.493)
Be (0.010, 0.493, 0.010)
Be (0.159, 0.665, 0.665)
Be (0.324, 0.324, 0.802)
Be (0.324, 0.802, 0.324)
Be (0.362, 0.654, 0.972)
Be (0.362, 0.972, 0.654)
Be (0.493, 0.010, 0.010)
Be (0.563, 0.563, 0.563)
Be (0.654, 0.362, 0.972)
Be (0.654, 0.972, 0.362)
Be (0.665, 0.159, 0.665)
Be (0.665, 0.665, 0.159)
Be (0.758, 0.758, 0.758)
Be (0.802, 0.324, 0.324)
Be (0.972, 0.362, 0.654)
Be (0.972, 0.654, 0.362)
Co (0.354, 0.354, 0.354)

Most intense lines, 10° ≤ 2θ ≤ 90°, in order of rising 2θ:
- 2θ = 16.3°, d 5.449, I = 69
- 2θ = 21.6°, d 4.112, I = 58
- 2θ = 24.5°, d 3.637, I = 55
- 2θ = 32.9°, d 2.724, I = 23
- 2θ = 35.0°, d 2.565, I = 79
- 2θ = 41.4°, d 2.180, I = 26
- 2θ = 43.1°, d 2.100, I = 40
- 2θ = 44.1°, d 2.054, I = 22
- 2θ = 50.2°, d 1.817, I = 100
- 2θ = 51.1°, d 1.788, I = 26

=====

(2)
Computed powder X-ray diffraction pattern of Mn3BeCo for copper Kα, from a structure optimized by DFT (PBE).

Structure:
abc: 3.854 3.854 3.854
angles: 90.00 90.00 90.00
Sites, in units of the cell vectors:
Mn (0.000, 0.000, 0.500)
Mn (0.000, 0.500, 0.000)
Mn (0.500, 0.000, 0.000)
Be (0.000, 0.000, 0.000)
Co (0.500, 0.500, 0.500)

Most intense lines, 10° ≤ 2θ ≤ 90°, in order of rising 2θ:
- 2θ = 32.9°, d 2.725, I = 1
- 2θ = 40.5°, d 2.225, I = 100
- 2θ = 47.2°, d 1.927, I = 52
- 2θ = 68.9°, d 1.363, I = 30
- 2θ = 83.1°, d 1.162, I = 31
- 2θ = 87.7°, d 1.113, I = 10

=====

(3)
Computed powder X-ray diffraction pattern of MnBeCo for copper Kα, from a structure optimized by DFT (PBE).

Structure:
abc: 4.540 4.540 3.676
angles: 90.00 90.00 131.64
Sites, in units of the cell vectors:
Mn (0.079, 0.921, 0.750)
Mn (0.921, 0.079, 0.250)
Be (0.251, 0.749, 0.250)
Be (0.749, 0.251, 0.750)
Co (0.405, 0.595, 0.750)
Co (0.595, 0.405, 0.250)

Most intense lines, 10° ≤ 2θ ≤ 90°, in order of rising 2θ:
- 2θ = 21.5°, d 4.142, I = 33
- 2θ = 36.0°, d 2.493, I = 49
- 2θ = 43.7°, d 2.071, I = 9
- 2θ = 47.9°, d 1.899, I = 100
- 2θ = 49.0°, d 1.860, I = 24
- 2θ = 49.6°, d 1.838, I = 23
- 2θ = 67.9°, d 1.381, I = 7
- 2θ = 72.3°, d 1.307, I = 14
- 2θ = 88.1°, d 1.109, I = 7
- 2θ = 88.6°, d 1.104, I = 7

=====

(4)
Computed powder X-ray diffraction pattern of MnBeCo for copper Kα, from a structure optimized by DFT (PBE).

Structure:
abc: 5.885 5.885 3.695
angles: 90.00 90.00 153.55
Sites, in units of the cell vectors:
Mn (0.246, 0.754, 0.750)
Mn (0.754, 0.246, 0.250)
Be (0.424, 0.576, 0.250)
Be (0.576, 0.424, 0.750)
Co (0.084, 0.916, 0.250)
Co (0.916, 0.084, 0.750)

Most intense lines, 10° ≤ 2θ ≤ 90°, in order of rising 2θ:
- 2θ = 15.5°, d 5.729, I = 15
- 2θ = 28.8°, d 3.105, I = 30
- 2θ = 34.2°, d 2.621, I = 23
- 2θ = 39.8°, d 2.264, I = 17
- 2θ = 47.6°, d 1.910, I = 26
- 2θ = 48.1°, d 1.891, I = 100
- 2θ = 49.3°, d 1.848, I = 23
- 2θ = 71.0°, d 1.328, I = 14
- 2θ = 89.0°, d 1.100, I = 7
- 2θ = 89.1°, d 1.099, I = 15

=====

(5)
Computed powder X-ray diffraction pattern of Mn2Be16Co for copper Kα, from a structure optimized by DFT (PBE).

Structure:
abc: 5.475 5.475 5.475
angles: 82.63 82.63 82.63
Sites, in units of the cell vectors:
Mn (0.000, 0.000, 0.000)
Mn (0.325, 0.325, 0.325)
Be (0.015, 0.015, 0.499)
Be (0.015, 0.499, 0.015)
Be (0.169, 0.663, 0.663)
Be (0.319, 0.319, 0.817)
Be (0.319, 0.817, 0.319)
Be (0.363, 0.663, 0.964)
Be (0.363, 0.964, 0.663)
Be (0.499, 0.015, 0.015)
Be (0.663, 0.169, 0.663)
Be (0.663, 0.363, 0.964)
Be (0.663, 0.663, 0.169)
Be (0.663, 0.964, 0.363)
Be (0.772, 0.772, 0.772)
Be (0.817, 0.319, 0.319)
Be (0.964, 0.363, 0.663)
Be (0.964, 0.663, 0.363)
Co (0.574, 0.574, 0.574)

Most intense lines, 10° ≤ 2θ ≤ 90°, in order of rising 2θ:
- 2θ = 21.9°, d 4.052, I = 18
- 2θ = 24.6°, d 3.615, I = 100
- 2θ = 25.1°, d 3.543, I = 16
- 2θ = 35.5°, d 2.530, I = 52
- 2θ = 36.7°, d 2.446, I = 21
- 2θ = 43.4°, d 2.087, I = 39
- 2θ = 44.7°, d 2.026, I = 17
- 2θ = 50.5°, d 1.807, I = 30
- 2θ = 50.8°, d 1.798, I = 33
- 2θ = 51.7°, d 1.767, I = 17

=====

(6)
Computed powder X-ray diffraction pattern of Mn2BeCo for copper Kα, from a structure optimized by DFT (PBE).

Structure:
abc: 2.783 2.783 5.306
angles: 90.00 90.00 90.00
Sites, in units of the cell vectors:
Mn (0.000, 0.000, 0.000)
Mn (0.500, 0.500, 0.257)
Be (0.000, 0.000, 0.509)
Co (0.500, 0.500, 0.726)

Most intense lines, 10° ≤ 2θ ≤ 90°, in order of rising 2θ:
- 2θ = 16.7°, d 5.306, I = 18
- 2θ = 32.2°, d 2.783, I = 16
- 2θ = 33.8°, d 2.653, I = 7
- 2θ = 36.5°, d 2.465, I = 27
- 2θ = 46.1°, d 1.968, I = 56
- 2θ = 47.3°, d 1.920, I = 100
- 2θ = 67.3°, d 1.392, I = 16
- 2θ = 71.1°, d 1.326, I = 6
- 2θ = 86.3°, d 1.127, I = 31
- 2θ = 89.0°, d 1.100, I = 13

=====

Question: What is the formula in the third record?
Answer: MnBeCo